# TmMg7Pd4
Theoretical powder diffraction line list, Cu Kα (weighted mean of Kα1 and Kα2). Input: a PBE-relaxed structure.

Principal peaks in the range 10° ≤ 2θ ≤ 90°, in order of rising 2θ:
d_spacing  2θ (°)  Rel. int.
6.276  14.11  50
3.406  26.16  25
3.333  26.74  100
3.218  27.72  37
2.838  31.53  29
2.767  32.35  32
2.590  34.63  25
2.574  34.85  23
2.529  35.49  68
2.216  40.72  33
2.145  42.14  47
1.667  55.11  27

```
data_TmMg7Pd4
_cell_length_a 6.8163
_cell_length_b 6.8163
_cell_length_c 9.1838
_cell_angle_alpha 122.79
_cell_angle_beta 122.79
_cell_angle_gamma 43.56
_space_group_name_H-M_alt 'P 1'
_space_group_IT_number 1
_space_group_name_Hall 'P 1'
loop_
_atom_site_label
_atom_site_type_symbol
_atom_site_fract_x
_atom_site_fract_y
_atom_site_fract_z
Tm1 Tm 0.0000 0.0000 0.0000
Mg1 Mg 0.0659 0.0659 0.3872
Mg2 Mg 0.2185 0.2185 0.8747
Mg3 Mg 0.3149 0.3149 0.3765
Mg4 Mg 0.5000 0.5000 0.0000
Mg5 Mg 0.6851 0.6851 0.6235
Mg6 Mg 0.7815 0.7815 0.1253
Mg7 Mg 0.9341 0.9341 0.6128
Pd1 Pd 0.3097 0.3097 0.6653
Pd2 Pd 0.4329 0.4329 0.2188
Pd3 Pd 0.5671 0.5671 0.7812
Pd4 Pd 0.6903 0.6903 0.3347
```

---

# TmMgPd3
Theoretical powder diffraction line list, Cu Kα (weighted mean of Kα1 and Kα2). Input: a PBE-relaxed structure.

Principal peaks in the range 10° ≤ 2θ ≤ 90°, in order of rising 2θ:
d_spacing  2θ (°)  Rel. int.
6.663  13.29  41
2.626  34.15  47
2.518  35.65  26
2.485  36.14  100
2.464  36.47  83
2.433  36.95  40
2.423  37.11  50
2.353  38.25  31
2.317  38.86  63
1.933  47.00  29
1.909  47.65  25
1.847  49.33  23

```
data_TmMgPd3
_cell_length_a 5.2534
_cell_length_b 5.2534
_cell_length_c 7.5102
_cell_angle_alpha 108.95
_cell_angle_beta 108.95
_cell_angle_gamma 90.55
_space_group_name_H-M_alt 'P 1'
_space_group_IT_number 1
_space_group_name_Hall 'P 1'
loop_
_atom_site_label
_atom_site_type_symbol
_atom_site_fract_x
_atom_site_fract_y
_atom_site_fract_z
Tm1 Tm 0.2316 0.2316 0.0149
Tm2 Tm 0.7684 0.7684 0.9851
Mg1 Mg 0.2007 0.7993 0.5000
Mg2 Mg 0.7993 0.2007 0.5000
Pd1 Pd 0.1973 0.6031 0.7971
Pd2 Pd 0.2772 0.2772 0.4401
Pd3 Pd 0.3969 0.8027 0.2029
Pd4 Pd 0.6031 0.1973 0.7971
Pd5 Pd 0.7228 0.7228 0.5599
Pd6 Pd 0.8027 0.3969 0.2029
```

---

# MgVPd
Theoretical powder diffraction line list, Cu Kα (weighted mean of Kα1 and Kα2). Input: a PBE-relaxed structure.

Principal peaks in the range 10° ≤ 2θ ≤ 90°, in order of rising 2θ:
d_spacing  2θ (°)  Rel. int.
6.003  14.76  51
2.733  32.77  22
2.298  39.20  100
2.001  45.32  16
1.987  45.66  16
1.982  45.77  16
1.825  49.99  12
1.409  66.34  19
1.403  66.64  10
1.205  79.56  10
1.199  80.06  13
1.197  80.22  13

```
data_MgVPd
_cell_length_a 2.8068
_cell_length_b 2.8068
_cell_length_c 12.0055
_cell_angle_alpha 90.00
_cell_angle_beta 90.00
_cell_angle_gamma 90.14
_space_group_name_H-M_alt 'P 1'
_space_group_IT_number 1
_space_group_name_Hall 'P 1'
loop_
_atom_site_label
_atom_site_type_symbol
_atom_site_fract_x
_atom_site_fract_y
_atom_site_fract_z
Mg1 Mg 0.0000 0.0000 0.1588
Mg2 Mg 0.0000 0.0000 0.8412
V1 V 0.5000 0.5000 0.3432
V2 V 0.5000 0.5000 0.6568
Pd1 Pd 0.0000 0.0000 0.5000
Pd2 Pd 0.5000 0.5000 0.0000
```

---

# YMg2Pd5
Theoretical powder diffraction line list, Cu Kα (weighted mean of Kα1 and Kα2). Input: a PBE-relaxed structure.

Principal peaks in the range 10° ≤ 2θ ≤ 90°, in order of rising 2θ:
d_spacing  2θ (°)  Rel. int.
7.583  11.67  8
2.985  29.94  7
2.777  32.23  15
2.528  35.51  7
2.345  38.38  100
2.110  42.85  38
1.896  47.99  11
1.620  56.83  7
1.492  62.21  12
1.410  66.27  17
1.259  75.51  26
1.173  82.21  9

```
data_YMg2Pd5
_cell_length_a 8.1494
_cell_length_b 8.1494
_cell_length_c 8.1494
_cell_angle_alpha 149.98
_cell_angle_beta 149.98
_cell_angle_gamma 42.97
_space_group_name_H-M_alt 'P 1'
_space_group_IT_number 1
_space_group_name_Hall 'P 1'
loop_
_atom_site_label
_atom_site_type_symbol
_atom_site_fract_x
_atom_site_fract_y
_atom_site_fract_z
Y1 Y 0.0000 0.0000 0.0000
Mg1 Mg 0.2518 0.2518 0.0000
Mg2 Mg 0.7482 0.7482 0.0000
Pd1 Pd 0.1358 0.6358 0.5000
Pd2 Pd 0.3642 0.8642 0.5000
Pd3 Pd 0.5000 0.5000 0.0000
Pd4 Pd 0.6358 0.1358 0.5000
Pd5 Pd 0.8642 0.3642 0.5000
```

---

# Y6MgPd2
Theoretical powder diffraction line list, Cu Kα (weighted mean of Kα1 and Kα2). Input: a PBE-relaxed structure.

Principal peaks in the range 10° ≤ 2θ ≤ 90°, in order of rising 2θ:
d_spacing  2θ (°)  Rel. int.
6.818  12.98  84
2.864  31.23  82
2.720  32.93  100
2.656  33.75  94
2.602  34.47  99
2.583  34.73  50
2.387  37.68  45
2.361  38.12  43
2.320  38.81  45
1.663  55.23  28
1.605  57.42  29
1.571  58.76  43

```
data_Y6MgPd2
_cell_length_a 8.6235
_cell_length_b 8.6235
_cell_length_c 8.6235
_cell_angle_alpha 112.76
_cell_angle_beta 111.25
_cell_angle_gamma 104.52
_space_group_name_H-M_alt 'P 1'
_space_group_IT_number 1
_space_group_name_Hall 'P 1'
loop_
_atom_site_label
_atom_site_type_symbol
_atom_site_fract_x
_atom_site_fract_y
_atom_site_fract_z
Y1 Y 0.0405 0.2373 0.8032
Y2 Y 0.1836 0.2886 0.4723
Y3 Y 0.1836 0.7114 0.8950
Y4 Y 0.3235 0.0234 0.6999
Y5 Y 0.3235 0.6237 0.3001
Y6 Y 0.4342 0.2373 0.1968
Y7 Y 0.5658 0.7627 0.8032
Y8 Y 0.6765 0.3763 0.6999
Y9 Y 0.6765 0.9766 0.3001
Y10 Y 0.8164 0.2886 0.1050
Y11 Y 0.8164 0.7114 0.5277
Y12 Y 0.9595 0.7627 0.1968
Mg1 Mg 0.0000 0.0000 0.0000
Mg2 Mg 0.5000 0.5000 0.0000
Pd1 Pd 0.1308 0.6308 0.5000
Pd2 Pd 0.3400 0.0000 0.3400
Pd3 Pd 0.6600 0.0000 0.6600
Pd4 Pd 0.8692 0.3692 0.5000
```

---

# MgZn8Pd4
Theoretical powder diffraction line list, Cu Kα (weighted mean of Kα1 and Kα2). Input: a PBE-relaxed structure.

Principal peaks in the range 10° ≤ 2θ ≤ 90°, in order of rising 2θ:
d_spacing  2θ (°)  Rel. int.
8.190  10.80  28
2.358  38.17  25
2.340  38.47  24
2.190  41.22  100
2.139  42.25  53
2.065  43.85  68
2.053  44.11  56
1.584  58.24  14
1.442  64.65  14
1.245  76.55  15
1.195  80.31  15
1.180  81.60  18

```
data_MgZn8Pd4
_cell_length_a 2.8833
_cell_length_b 4.2781
_cell_length_c 16.3803
_cell_angle_alpha 90.00
_cell_angle_beta 90.00
_cell_angle_gamma 90.00
_space_group_name_H-M_alt 'P 1'
_space_group_IT_number 1
_space_group_name_Hall 'P 1'
loop_
_atom_site_label
_atom_site_type_symbol
_atom_site_fract_x
_atom_site_fract_y
_atom_site_fract_z
Mg1 Mg 0.0000 0.0000 0.0000
Zn1 Zn 0.0000 0.0000 0.5624
Zn2 Zn 0.0000 0.0000 0.8417
Zn3 Zn 0.0000 0.5000 0.1675
Zn4 Zn 0.0000 0.5000 0.7513
Zn5 Zn 0.5000 0.0000 0.1445
Zn6 Zn 0.5000 0.0000 0.4205
Zn7 Zn 0.5000 0.5000 0.3194
Zn8 Zn 0.5000 0.5000 0.6048
Pd1 Pd 0.0000 0.0000 0.2817
Pd2 Pd 0.0000 0.5000 0.4638
Pd3 Pd 0.5000 0.0000 0.7019
Pd4 Pd 0.5000 0.5000 0.8976
```